Record 1
Simulated PXRD pattern of La4HfCr2 for Cu Kα X-rays, from a crystal structure in Alexandria, relaxed with PBE.
Kinematic intensities with the Lorentz-polarization factor, no thermal factor.

Crystal structure
```
La4HfCr2
1.0
-2.868 2.868 7.490
2.868 -2.868 7.490
2.868 2.868 -7.490
La Hf Cr
4 1 2
Direct
0.000 0.500 0.500 La
0.196 0.196 0.000 La
0.500 0.000 0.500 La
0.804 0.804 0.000 La
0.000 0.000 0.000 Hf
0.396 0.396 0.000 Cr
0.604 0.604 0.000 Cr
```

Peak list (10 most intense, 10 to 90 degrees two-theta, sorted by position)
2θ/deg, d/Å, intensity
11.8, 7.490, 49
16.6, 5.356, 41
21.9, 4.055, 29
23.8, 3.745, 25
25.0, 3.566, 41
31.2, 2.868, 100
33.8, 2.656, 72
39.6, 2.277, 27
44.7, 2.028, 37
46.6, 1.948, 58

---

Record 2
Simulated PXRD pattern of Cs3SO6 for Cu Kα X-rays, from a crystal structure in Alexandria, relaxed with PBE.
Kinematic intensities with the Lorentz-polarization factor, no thermal factor.

Crystal structure
```
Cs3SO6
1.0
0.000 4.644 4.644
4.644 0.000 4.644
4.644 4.644 0.000
Cs S O
3 1 6
Direct
0.000 0.000 0.000 Cs
0.250 0.250 0.250 Cs
0.750 0.750 0.750 Cs
0.500 0.500 0.500 S
0.323 0.323 0.677 O
0.323 0.677 0.323 O
0.323 0.677 0.677 O
0.677 0.323 0.323 O
0.677 0.323 0.677 O
0.677 0.677 0.323 O
```

Peak list (10 most intense, 10 to 90 degrees two-theta, sorted by position)
2θ/deg, d/Å, intensity
27.2, 3.284, 100
32.0, 2.800, 7
33.4, 2.681, 6
38.8, 2.322, 25
42.4, 2.131, 7
48.0, 1.896, 33
56.0, 1.642, 14
63.3, 1.468, 21
76.8, 1.241, 21
89.6, 1.095, 11

---

Record 3
Simulated PXRD pattern of NdZn9Ru2 for Cu Kα X-rays, from a crystal structure in Alexandria, relaxed with PBE.
Kinematic intensities with the Lorentz-polarization factor, no thermal factor.

Crystal structure
```
NdZn9Ru2
1.0
2.553 1.474 8.192
-2.553 1.474 8.192
0.000 -2.948 8.192
Nd Zn Ru
1 9 2
Direct
0.000 0.000 0.000 Nd
0.081 0.595 0.595 Zn
0.334 0.334 0.334 Zn
0.405 0.405 0.919 Zn
0.405 0.919 0.405 Zn
0.500 0.500 0.500 Zn
0.595 0.081 0.595 Zn
0.595 0.595 0.081 Zn
0.666 0.666 0.666 Zn
0.919 0.405 0.405 Zn
0.143 0.143 0.143 Ru
0.857 0.857 0.857 Ru
```

Peak list (10 most intense, 10 to 90 degrees two-theta, sorted by position)
2θ/deg, d/Å, intensity
32.6, 2.750, 21
35.1, 2.553, 37
35.6, 2.523, 20
41.0, 2.202, 32
41.7, 2.167, 100
44.2, 2.048, 17
45.0, 2.016, 20
67.5, 1.387, 23
74.3, 1.277, 21
79.1, 1.210, 12

---

Record 4
Simulated PXRD pattern of La5Pm2PrIn for Cu Kα X-rays, from a crystal structure in Alexandria, relaxed with PBE.
Kinematic intensities with the Lorentz-polarization factor, no thermal factor.

Crystal structure
```
La5Pm2PrIn
1.0
8.515 0.000 0.000
0.000 8.515 0.000
0.000 0.000 8.757
La Pm Pr In
10 4 2 2
Direct
0.000 0.000 0.000 La
0.222 0.278 0.285 La
0.222 0.278 0.715 La
0.278 0.778 0.285 La
0.278 0.778 0.715 La
0.500 0.500 0.000 La
0.722 0.222 0.285 La
0.722 0.222 0.715 La
0.778 0.722 0.285 La
0.778 0.722 0.715 La
0.124 0.624 0.000 Pm
0.376 0.124 0.000 Pm
0.624 0.876 0.000 Pm
0.876 0.376 0.000 Pm
0.000 0.000 0.500 Pr
0.500 0.500 0.500 Pr
0.000 0.500 0.500 In
0.500 0.000 0.500 In
```

Peak list (10 most intense, 10 to 90 degrees two-theta, sorted by position)
2θ/deg, d/Å, intensity
25.5, 3.492, 23
29.3, 3.052, 100
29.7, 3.010, 50
31.1, 2.873, 32
33.3, 2.693, 12
37.4, 2.408, 13
41.2, 2.189, 14
43.8, 2.067, 17
51.6, 1.771, 14
52.4, 1.746, 29

---

Record 5
Simulated PXRD pattern of NdSbS3 for Cu Kα X-rays, from a crystal structure in Alexandria, relaxed with PBE.
Kinematic intensities with the Lorentz-polarization factor, no thermal factor.

Crystal structure
```
NdSbS3
1.0
7.205 0.000 0.000
0.000 4.054 0.000
-0.003 0.000 10.974
Nd Sb S
2 2 6
Direct
0.219 0.250 0.425 Nd
0.781 0.750 0.575 Nd
0.395 0.250 0.831 Sb
0.605 0.750 0.169 Sb
0.019 0.250 0.645 S
0.389 0.250 0.128 S
0.498 0.250 0.619 S
0.502 0.750 0.381 S
0.611 0.750 0.872 S
0.981 0.750 0.355 S
```

Peak list (10 most intense, 10 to 90 degrees two-theta, sorted by position)
2θ/deg, d/Å, intensity
12.3, 7.205, 42
14.7, 6.022, 47
20.3, 4.365, 73
25.2, 3.533, 100
26.5, 3.363, 34
27.3, 3.262, 73
34.3, 2.615, 53
37.2, 2.417, 38
41.7, 2.168, 65
44.7, 2.029, 49

---

> What is the formula in the second record?

Cs3SO6